Tm4Ge2Os: calculated powder diffractogram (Cu Kα, 1.54184 Å), based on a crystal structure in Alexandria, relaxed with GGA-PBE.

Structure:
Lattice parameters (Å, degrees): 7.4682 7.4717 7.4842 108.92 109.73 109.67
Space group P1 (No. 1)
Unique sites:
1 Tm 0.0000 0.0000 0.0000 (multiplicity 1)
2 Tm 0.0004 0.0009 0.5016 (multiplicity 1)
3 Tm 0.1215 0.4756 0.8540 (multiplicity 1)
4 Tm 0.3694 0.8500 0.7216 (multiplicity 1)
5 Tm 0.4940 0.6210 0.3698 (multiplicity 1)
6 Tm 0.5064 0.1288 0.3767 (multiplicity 1)
7 Tm 0.6220 0.4823 0.8461 (multiplicity 1)
8 Tm 0.8701 0.3519 0.2219 (multiplicity 1)
9 Ge 0.1169 0.7425 0.2298 (multiplicity 1)
10 Ge 0.3835 0.2393 0.9934 (multiplicity 1)
11 Ge 0.6160 0.8568 0.1120 (multiplicity 1)
12 Ge 0.8830 0.6232 0.6116 (multiplicity 1)
13 Os 0.2444 0.3629 0.4845 (multiplicity 1)
14 Os 0.7480 0.1117 0.7381 (multiplicity 1)

Main lines, by intensity (10 to 80 degrees two-theta):
32.9 deg, I = 100, hkl 2 -2 1
32.6 deg, I = 59, hkl -2 2 1
39.1 deg, I = 40, hkl 2 1 -3
39.0 deg, I = 26, hkl 1 0 2
38.9 deg, I = 17, hkl 1 0 -3
39.2 deg, I = 16, hkl 3 0 -1
14.5 deg, I = 15, hkl 1 -1 0
67.0 deg, I = 13, hkl 2 -3 4